For TmAl12Ni5, a structure optimized by DFT (PBE) gives the calculated powder diffraction line list in this record (Cu Kα, 1.54184 Å).

Lattice parameters (Å, degrees): 7.375 7.970 9.358 90.00 90.00 90.00
Space group Immm (No. 71)
Asymmetric unit:
Tm1 0.000 0.000 0.000 [2 per cell]
Al1 0.000 0.310 0.166 [8 per cell]
Al2 0.177 0.274 0.500 [8 per cell]
Al3 0.191 0.000 0.265 [8 per cell]
Ni1 0.000 0.000 0.500 [2 per cell]
Ni2 0.000 0.500 0.368 [4 per cell]
Ni3 0.172 0.500 0.000 [4 per cell]

The 10 most intense peaks (2θ = 10–80°), by angle:
(0 0 2), 2θ 19.0, I 50
(0 2 0), 2θ 22.3, I 67
(1 1 2), 2θ 25.2, I 27
(2 1 1), 2θ 28.3, I 48
(0 0 4), 2θ 38.4, I 54
(1 2 3), 2θ 38.6, I 59
(1 1 4), 2θ 42.1, I 35
(3 1 2), 2θ 43.1, I 100
(0 4 0), 2θ 45.5, I 27
(3 1 4), 2θ 55.4, I 24